(1)
For CaPmNi2H6, the GGA-PBE geometry in Alexandria gives the theoretical XRD peak list in this record (λ = 1.5418 Å (Cu Kα)).
Neutral-atom scattering factors, no anomalous dispersion.

Top 6 peaks for 5° ≤ 2θ ≤ 70°, sorted by position:
two_theta  I (rel.)
22.75  44
31.04  100
35.15  42
38.77  69
50.47  25
65.40  22

Crystal structure
```
CaPmNi2H6
1.0
2.323 1.341 5.505
-2.323 1.341 5.505
0.000 -2.682 5.505
Ca Pm Ni H
1 1 2 6
Direct
0.000 0.000 0.000 Ca
0.500 0.500 0.500 Pm
0.282 0.282 0.282 Ni
0.718 0.718 0.718 Ni
0.068 0.068 0.546 H
0.068 0.546 0.068 H
0.454 0.932 0.932 H
0.546 0.068 0.068 H
0.932 0.454 0.932 H
0.932 0.932 0.454 H
```

***

(2)
For CaPrNi2H8, the GGA-PBE geometry in Alexandria gives the theoretical XRD peak list in this record (λ = 1.5418 Å (Cu Kα)).
Neutral-atom scattering factors, no anomalous dispersion.

Top 6 peaks for 5° ≤ 2θ ≤ 70°, sorted by position:
two_theta  I (rel.)
14.14  34
29.32  100
38.97  49
44.75  27
49.50  23
64.72  20

Crystal structure
```
CaPrNi2H8
1.0
2.311 1.334 6.261
-2.311 1.334 6.261
0.000 -2.669 6.261
Ca Pr Ni H
1 1 2 8
Direct
0.000 0.000 0.000 Ca
0.500 0.500 0.500 Pr
0.236 0.236 0.236 Ni
0.764 0.764 0.764 Ni
0.074 0.551 0.551 H
0.151 0.151 0.151 H
0.449 0.449 0.926 H
0.449 0.926 0.449 H
0.551 0.074 0.551 H
0.551 0.551 0.074 H
0.849 0.849 0.849 H
0.926 0.449 0.449 H
```

***

(3)
For CaPuNi2H8, the GGA-PBE geometry in Alexandria gives the theoretical XRD peak list in this record (λ = 1.5418 Å (Cu Kα)).
Neutral-atom scattering factors, no anomalous dispersion.

Top 6 peaks for 5° ≤ 2θ ≤ 70°, sorted by position:
two_theta  I (rel.)
14.17  64
23.51  37
29.97  100
40.43  48
43.05  27
45.26  28

Crystal structure
```
CaPuNi2H8
1.0
2.231 1.288 6.248
-2.231 1.288 6.248
0.000 -2.576 6.248
Ca Pu Ni H
1 1 2 8
Direct
0.000 0.000 0.000 Ca
0.500 0.500 0.500 Pu
0.233 0.233 0.233 Ni
0.767 0.767 0.767 Ni
0.097 0.546 0.546 H
0.147 0.147 0.147 H
0.454 0.454 0.903 H
0.454 0.903 0.454 H
0.546 0.097 0.546 H
0.546 0.546 0.097 H
0.853 0.853 0.853 H
0.903 0.454 0.454 H
```